Starting from a structure optimized by DFT (PBE), the X-ray diffraction stick pattern of Hf3Fe4Si2Ge2 was computed for Cu Kα, 1.54184 Å.
Lines closer than 0.1° are merged.

Crystal structure
```
data_Hf3Fe4Si2Ge2
_space_group_name_H-M_alt 'I m m m'
_space_group_IT_number 71
_space_group_name_Hall '-I 2 2'
_cell_length_a 3.8102
_cell_length_b 6.5582
_cell_length_c 12.8279
_cell_angle_alpha 90.00
_cell_angle_beta 90.00
_cell_angle_gamma 90.00
loop_
_atom_site_label
_atom_site_type_symbol
_atom_site_fract_x
_atom_site_fract_y
_atom_site_fract_z
Hf1 Hf 0.0000 0.0000 0.0000
Hf2 Hf 0.0000 0.5000 0.1286
Fe1 Fe 0.0000 0.3067 0.3205
Si1 Si 0.0000 0.0000 0.2177
Ge1 Ge 0.0000 0.2004 0.5000
```

Main lines, by intensity (2θ from 5° to 70°):
36.8 deg, I 1000, (1 2 1); 39.2 deg, I 891, (1 1 4); 46.7 deg, I 343, (0 3 3); 47.7 deg, I 282, (2 0 0); 24.9 deg, I 268, (0 1 3); 37.6 deg, I 254, (0 1 5); 30.5 deg, I 235, (1 1 2); 69.0 deg, I 207, (2 3 3); 63.0 deg, I 144, (1 2 7); 42.3 deg, I 136, (0 0 6)

---

Starting from a structure optimized by DFT (PBE), the X-ray diffraction stick pattern of Rb2PuAg2Te4 was computed for Cu Kα, 1.54184 Å.
Lines closer than 0.1° are merged.

Crystal structure
```
data_Rb2PuAg2Te4
_space_group_name_H-M_alt 'C 2 2 2'
_space_group_IT_number 21
_cell_length_a 6.7615
_cell_length_b 14.6582
_cell_length_c 6.7639
_cell_angle_alpha 90.00
_cell_angle_beta 90.00
_cell_angle_gamma 90.00
loop_
_space_group_symop_operation_xyz
'x,y,z'
'-x,-y,z'
'x,-y,-z'
'-x,y,-z'
'x+1/2,y+1/2,z'
'-x+1/2,-y+1/2,z'
'x+1/2,-y+1/2,-z'
'-x+1/2,y+1/2,-z'
loop_
_atom_site_label
_atom_site_type_symbol
_atom_site_fract_x
_atom_site_fract_y
_atom_site_fract_z
Rb1 Rb 0.2500 0.2500 0.2419
Pu1 Pu 0.0000 0.0000 0.5000
Ag1 Ag 0.0000 0.0000 0.0000
Ag2 Ag 0.0000 0.5000 0.5000
Te1 Te 0.2450 0.3889 0.7546
```

Main lines, by intensity (2θ from 5° to 70°):
26.1 deg, I 1000, (1 3 1); 37.6 deg, I 658, (2 0 2); 36.1 deg, I 656, (0 4 2); 29.1 deg, I 619, (2 2 0); 12.1 deg, I 539, (0 2 0); 45.8 deg, I 457, (2 6 0); 46.3 deg, I 409, (3 3 1); 14.4 deg, I 256, (1 1 0); 54.3 deg, I 225, (4 0 0); 66.9 deg, I 223, (2 4 4)